Starting from the PBE geometry in Alexandria, the powder X-ray diffraction pattern of Li3Si5P8 was calculated for Cu Kα.

Principal peaks in the range 10 to 80 degrees two-theta, by angle:
| 2θ (°) | Rel. int. |
| --- | --- |
| 24.6 | 15 |
| 35.0 | 28 |
| 40.7 | 100 |
| 54.7 | 12 |
| 58.9 | 12 |
| 62.8 | 18 |
| 74.0 | 20 |
| 77.6 | 11 |

Cell and atoms:
Unit cell a=6.2752 b=6.2752 c=6.2752 alpha=90.00 beta=90.00 gamma=90.00
Atoms (fractional coordinates):
Li 0.0000 0.0000 0.5000
Li 0.0000 0.5000 0.0000
Li 0.5000 0.0000 0.0000
Si 0.2842 0.2842 0.2842
Si 0.2842 0.7158 0.7158
Si 0.5000 0.5000 0.5000
Si 0.7158 0.2842 0.7158
Si 0.7158 0.7158 0.2842
P 0.0000 0.0000 0.0000
P 0.0000 0.5000 0.5000
P 0.2067 0.2067 0.7933
P 0.2067 0.7933 0.2067
P 0.5000 0.0000 0.5000
P 0.5000 0.5000 0.0000
P 0.7933 0.2067 0.2067
P 0.7933 0.7933 0.7933